Calculated X-ray diffraction stick pattern
Compound: MoPd12
Radiation: Cu Kα, 1.54184 Å
Structure: a DFT-relaxed cell (PBE, OQMD)

Cell and atoms:
a = 6.433 Å, b = 6.433 Å, c = 6.433 Å
α = 109.47°, β = 109.47°, γ = 109.47°
Sites, in units of the cell vectors:
Mo1 0.000 0.000 0.000
Pd1 0.123 0.816 0.307
Pd2 0.184 0.307 0.491
Pd3 0.184 0.693 0.877
Pd4 0.307 0.123 0.816
Pd5 0.307 0.491 0.184
Pd6 0.491 0.184 0.307
Pd7 0.509 0.816 0.693
Pd8 0.693 0.509 0.816
Pd9 0.693 0.877 0.184
Pd10 0.816 0.307 0.123
Pd11 0.816 0.693 0.509
Pd12 0.877 0.184 0.693

Peak list (6 most intense, 2θ = 5–70°, in order of rising 2θ)
two_theta, I_rel
34.1, 16.9
38.3, 100.0
42.1, 39.5
45.7, 75.4
49.1, 9.9
63.9, 8.8

---

Calculated X-ray diffraction stick pattern
Compound: MoPd13
Radiation: Cu Kα, 1.54184 Å
Structure: a DFT-relaxed cell (PBE, OQMD)

Cell and atoms:
a = 6.686 Å, b = 6.686 Å, c = 5.293 Å
α = 99.35°, β = 99.35°, γ = 69.93°
Sites, in units of the cell vectors:
Mo1 0.000 0.000 0.000
Pd1 0.000 0.000 0.500
Pd2 0.001 0.354 0.300
Pd3 0.220 0.620 0.180
Pd4 0.223 0.223 0.870
Pd5 0.354 0.001 0.300
Pd6 0.380 0.780 0.820
Pd7 0.390 0.390 0.581
Pd8 0.610 0.610 0.419
Pd9 0.620 0.220 0.180
Pd10 0.646 0.999 0.700
Pd11 0.777 0.777 0.130
Pd12 0.780 0.380 0.820
Pd13 0.999 0.646 0.700

Peak list (6 most intense, 2θ = 5–70°, in order of rising 2θ)
two_theta, I_rel
40.4, 63.2
41.0, 100.0
41.6, 39.1
41.9, 68.5
42.1, 38.2
43.8, 42.5

---

Calculated X-ray diffraction stick pattern
Compound: TaMoPd6
Radiation: Cu Kα, 1.54184 Å
Structure: a DFT-relaxed cell (PBE, OQMD)

Cell and atoms:
a = 4.573 Å, b = 5.486 Å, c = 4.864 Å
α = 90.00°, β = 90.00°, γ = 90.00°
Sites, in units of the cell vectors:
Ta1 0.000 0.000 0.000
Mo1 0.500 0.500 0.681
Pd1 0.000 0.252 0.504
Pd2 0.000 0.500 0.994
Pd3 0.000 0.748 0.504
Pd4 0.500 0.000 0.680
Pd5 0.500 0.252 0.177
Pd6 0.500 0.748 0.177

Peak list (6 most intense, 2θ = 5–70°, in order of rising 2θ)
two_theta, I_rel
37.6, 28.6
39.4, 43.7
42.1, 58.8
42.7, 100.0
55.6, 18.2
67.1, 17.5

---

Calculated X-ray diffraction stick pattern
Compound: ZnMoPd2
Radiation: Cu Kα, 1.54184 Å
Structure: a DFT-relaxed cell (PBE, OQMD)

Cell and atoms:
a = 6.222 Å, b = 6.222 Å, c = 6.222 Å
α = 90.00°, β = 90.00°, γ = 90.00°
Sites, in units of the cell vectors:
Zn1 0.000 0.000 0.000
Zn2 0.000 0.500 0.500
Zn3 0.500 0.000 0.500
Zn4 0.500 0.500 0.000
Mo1 0.250 0.250 0.250
Mo2 0.250 0.750 0.750
Mo3 0.750 0.250 0.750
Mo4 0.750 0.750 0.250
Pd1 0.000 0.000 0.500
Pd2 0.000 0.500 0.000
Pd3 0.250 0.250 0.750
Pd4 0.250 0.750 0.250
Pd5 0.500 0.000 0.000
Pd6 0.500 0.500 0.500
Pd7 0.750 0.250 0.250
Pd8 0.750 0.750 0.750

Peak list (6 most intense, 2θ = 5–70°, in order of rising 2θ)
two_theta, I_rel
24.8, 2.6
28.7, 0.6
41.0, 100.0
48.5, 1.2
59.4, 16.3
65.4, 0.5

---

Calculated X-ray diffraction stick pattern
Compound: ZrMoPd2
Radiation: Cu Kα, 1.54184 Å
Structure: a DFT-relaxed cell (PBE, OQMD)

Cell and atoms:
a = 6.452 Å, b = 6.452 Å, c = 6.452 Å
α = 90.00°, β = 90.00°, γ = 90.00°
Sites, in units of the cell vectors:
Zr1 0.000 0.000 0.000
Zr2 0.000 0.500 0.500
Zr3 0.500 0.000 0.500
Zr4 0.500 0.500 0.000
Mo1 0.250 0.250 0.250
Mo2 0.250 0.750 0.750
Mo3 0.750 0.250 0.750
Mo4 0.750 0.750 0.250
Pd1 0.000 0.000 0.500
Pd2 0.000 0.500 0.000
Pd3 0.250 0.250 0.750
Pd4 0.250 0.750 0.250
Pd5 0.500 0.000 0.000
Pd6 0.500 0.500 0.500
Pd7 0.750 0.250 0.250
Pd8 0.750 0.750 0.750

Peak list (2 most intense, 2θ = 5–70°, in order of rising 2θ)
two_theta, I_rel
39.5, 100.0
57.1, 16.6

---

Calculated X-ray diffraction stick pattern
Compound: PmMo6S8
Radiation: Cu Kα, 1.54184 Å
Structure: a DFT-relaxed cell (PBE, OQMD)

Cell and atoms:
a = 6.521 Å, b = 6.521 Å, c = 6.521 Å
α = 89.02°, β = 89.02°, γ = 89.02°
Sites, in units of the cell vectors:
Pm1 0.000 0.000 0.000
Mo1 0.225 0.562 0.420
Mo2 0.420 0.225 0.562
Mo3 0.438 0.580 0.775
Mo4 0.562 0.420 0.225
Mo5 0.580 0.775 0.438
Mo6 0.775 0.438 0.580
S1 0.128 0.372 0.751
S2 0.242 0.242 0.242
S3 0.249 0.872 0.628
S4 0.372 0.751 0.128
S5 0.628 0.249 0.872
S6 0.751 0.128 0.372
S7 0.758 0.758 0.758
S8 0.872 0.628 0.249

Peak list (6 most intense, 2θ = 5–70°, in order of rising 2θ)
two_theta, I_rel
13.6, 98.4
19.1, 74.7
30.9, 81.1
33.8, 72.1
41.9, 89.6
46.3, 100.0